Diffraction record for CdIn2SnAu2. The X-ray powder pattern is computed, not measured: it uses DFT lattice parameters and positions (GGA-PBE) and a wavelength of 1.5418 Å.
Lines closer than 0.1° are merged.

Structure:
```
6
Lattice="2.375 1.371 7.656 -2.375 1.371 7.656 0.000 -2.743 7.656" Properties=species:S:1:pos:R:3 pbc="T T T"
Cd 0.000 0.000 0.000
In 0.000 0.000 5.808
In 0.000 0.000 17.196
Sn 0.000 0.000 11.476
Au 0.000 0.000 2.893
Au 0.000 0.000 14.339
```

Top 10 peaks for 2θ = 15–90°, most intense first:
2θ (°), d [Å], I/Imax
37.87, 2.375, 100
38.23, 2.354, 97
22.96, 3.873, 73
68.64, 1.367, 35
54.91, 1.672, 34
44.91, 2.018, 27
23.24, 3.828, 25
68.40, 1.371, 18
69.33, 1.355, 17
44.75, 2.025, 13

Diffraction record for BaSrNdTlCu2O7. The X-ray powder pattern is computed, not measured: it uses DFT lattice parameters and positions (GGA-PBE) and a wavelength of 1.5418 Å.
Lines closer than 0.1° are merged.

Structure:
```
13
Lattice="3.918 0.000 0.000 0.000 3.888 0.000 -0.040 0.000 12.628" Properties=species:S:1:pos:R:3 pbc="T T T"
Ba 0.000 0.000 0.000
Sr 3.891 0.000 7.454
Nd 0.036 0.000 3.818
Tl 1.651 1.944 9.973
Cu 1.993 1.944 2.097
Cu 1.986 1.944 5.598
O 0.034 1.944 2.272
O 0.026 1.944 5.383
O 0.304 0.000 9.923
O 1.959 1.944 12.105
O 1.993 0.000 2.282
O 1.990 0.000 5.366
O 2.018 1.944 7.862
```

Top 10 peaks for 2θ = 15–90°, most intense first:
2θ (°), d [Å], I/Imax
31.29, 2.858, 100
32.44, 2.760, 84
31.14, 2.872, 36
57.25, 1.609, 24
46.72, 1.944, 22
46.35, 1.959, 18
35.53, 2.527, 17
23.78, 3.741, 17
23.95, 3.716, 16
26.79, 3.328, 13

Diffraction record for BaCa2Y6O12. The X-ray powder pattern is computed, not measured: it uses DFT lattice parameters and positions (GGA-PBE) and a wavelength of 1.5418 Å.
Lines closer than 0.1° are merged.

Structure:
```
21
Lattice="10.323 0.000 0.000 -5.161 8.940 0.000 0.000 0.000 3.410" Properties=species:S:1:pos:R:3 pbc="T T T"
Ba 0.000 0.000 0.000
Ca 0.000 5.960 0.000
Ca 5.161 2.980 1.705
Y -3.351 5.826 0.000
Y 3.575 0.009 1.705
Y 1.791 3.125 0.000
Y 1.560 8.929 0.000
Y 3.382 5.839 1.705
Y 8.527 3.091 1.705
O -0.426 2.714 0.000
O -1.754 5.408 1.705
O -2.597 7.952 0.000
O 1.963 1.628 1.705
O 1.355 4.717 1.705
O 0.399 7.755 1.705
O 4.752 1.218 0.000
O 3.840 4.215 0.000
O 3.024 7.213 0.000
O 7.932 0.886 1.705
O 6.892 3.506 0.000
O 5.589 6.426 1.705
```

Top 10 peaks for 2θ = 15–90°, most intense first:
2θ (°), d [Å], I/Imax
29.99, 2.980, 100
31.44, 2.845, 71
44.00, 2.058, 41
54.17, 1.693, 38
62.79, 1.480, 24
37.47, 2.400, 23
53.24, 1.720, 22
79.07, 1.211, 13
62.32, 1.490, 13
53.76, 1.705, 11

Diffraction record for TiRu3. The X-ray powder pattern is computed, not measured: it uses DFT lattice parameters and positions (GGA-PBE) and a wavelength of 1.5418 Å.
Lines closer than 0.1° are merged.

Structure:
```
4
Lattice="3.860 0.000 0.000 0.000 3.860 0.000 0.000 0.000 3.860" Properties=species:S:1:pos:R:3 pbc="T T T"
Ti 0.000 0.000 0.000
Ru 0.000 1.930 1.930
Ru 1.930 0.000 1.930
Ru 1.930 1.930 0.000
```

Top 10 peaks for 2θ = 15–90°, most intense first:
2θ (°), d [Å], I/Imax
40.48, 2.228, 100
47.09, 1.930, 48
82.98, 1.164, 35
68.80, 1.365, 30
87.57, 1.114, 10
23.04, 3.860, 8
32.82, 2.729, 7
53.06, 1.726, 4
58.58, 1.576, 3
73.63, 1.287, 2

Diffraction record for Sm2Ge3Pt3. The X-ray powder pattern is computed, not measured: it uses DFT lattice parameters and positions (GGA-PBE) and a wavelength of 1.5418 Å.
Lines closer than 0.1° are merged.

Structure:
```
8
Lattice="2.826 0.000 0.000 0.000 2.826 0.000 0.000 0.000 21.722" Properties=species:S:1:pos:R:3 pbc="T T T"
Sm 0.000 0.000 5.243
Sm 0.000 0.000 16.479
Ge 0.000 0.000 0.000
Ge 0.000 0.000 8.414
Ge 0.000 0.000 13.308
Pt 0.000 0.000 2.491
Pt 0.000 0.000 10.861
Pt 0.000 0.000 19.231
```

Top 10 peaks for 2θ = 15–90°, most intense first:
2θ (°), d [Å], I/Imax
31.66, 2.826, 100
46.37, 1.958, 57
45.38, 1.999, 37
32.99, 2.715, 37
57.23, 1.610, 31
84.56, 1.146, 20
75.16, 1.264, 17
75.90, 1.254, 13
66.12, 1.413, 12
34.05, 2.633, 12

Diffraction record for In4As5Br3O12. The X-ray powder pattern is computed, not measured: it uses DFT lattice parameters and positions (GGA-PBE) and a wavelength of 1.5418 Å.
Lines closer than 0.1° are merged.

Structure:
```
48
Lattice="8.168 0.000 0.000 1.803 10.597 0.000 2.198 3.687 11.393" Properties=species:S:1:pos:R:3 pbc="T T T"
In 0.000 0.000 0.000
In 0.901 5.299 0.000
In 2.764 4.038 5.943
In 2.529 2.283 0.151
In 6.292 11.159 11.251
In 5.877 3.125 0.142
In 9.639 12.001 11.241
In 9.405 10.246 5.449
As 1.879 7.928 2.238
As 3.891 12.399 8.488
As 3.264 4.850 2.615
As 5.797 8.543 9.313
As 5.057 3.090 9.305
As 7.112 11.194 2.088
As 6.372 5.741 2.080
As 8.904 9.434 8.777
As 8.278 1.885 2.904
As 10.290 6.356 9.154
Br 3.192 8.868 6.320
Br 3.119 1.827 4.676
Br 4.926 5.374 6.007
Br 7.243 8.910 5.386
Br 9.050 12.457 6.717
Br 8.977 5.416 5.072
O 0.977 1.373 1.387
O 2.379 3.446 7.900
O 3.391 7.166 10.197
O 2.750 8.833 0.937
O 2.200 4.098 1.395
O 3.162 6.596 1.985
O 4.907 9.671 10.441
O 4.115 4.232 10.369
O 5.610 12.316 9.354
O 6.247 7.183 10.421
O 4.884 4.640 1.713
O 4.436 1.549 0.801
O 7.732 12.735 10.591
O 7.285 9.644 9.679
O 5.922 7.101 0.972
O 6.559 1.968 2.038
O 8.053 10.052 1.024
O 7.262 4.613 0.952
O 9.006 7.688 9.407
O 9.969 10.185 9.998
O 9.419 5.451 10.455
O 8.778 7.118 1.195
O 9.789 10.837 3.493
O 11.192 12.911 10.005
```

Top 10 peaks for 2θ = 15–90°, most intense first:
2θ (°), d [Å], I/Imax
29.22, 3.056, 100
30.30, 2.950, 41
15.56, 5.696, 38
19.60, 4.530, 26
29.62, 3.016, 26
25.46, 3.498, 25
33.55, 2.671, 22
33.96, 2.640, 19
23.58, 3.774, 19
24.59, 3.620, 18

Diffraction record for LiCr2S4. The X-ray powder pattern is computed, not measured: it uses DFT lattice parameters and positions (GGA-PBE) and a wavelength of 1.5418 Å.
Lines closer than 0.1° are merged.

Structure:
```
7
Lattice="5.905 0.000 0.000 0.000 3.429 0.000 -0.064 0.000 6.134" Properties=species:S:1:pos:R:3 pbc="T T T"
Li 0.000 0.000 0.000
Cr -0.032 0.000 3.067
Cr 2.921 1.715 3.067
S 0.941 1.715 4.416
S 1.935 0.000 1.747
S 3.907 0.000 4.387
S 4.900 1.715 1.718
```

Top 10 peaks for 2θ = 15–90°, most intense first:
2θ (°), d [Å], I/Imax
33.64, 2.664, 100
42.52, 2.126, 57
33.55, 2.671, 50
42.28, 2.138, 49
53.70, 1.707, 33
54.37, 1.687, 30
53.44, 1.715, 17
54.88, 1.673, 14
64.59, 1.443, 12
70.39, 1.338, 11

Diffraction record for Na2La2MgTi2O8. The X-ray powder pattern is computed, not measured: it uses DFT lattice parameters and positions (GGA-PBE) and a wavelength of 1.5418 Å.
Lines closer than 0.1° are merged.

Structure:
```
15
Lattice="3.743 0.000 0.000 0.000 3.743 0.000 0.000 0.000 15.618" Properties=species:S:1:pos:R:3 pbc="T T T"
Na 0.000 1.872 1.028
Na 1.872 0.000 14.589
La 0.000 1.872 5.306
La 1.872 0.000 10.312
Mg 0.000 0.000 7.809
Ti 0.000 1.872 12.524
Ti 1.872 0.000 3.094
O 0.000 0.000 3.851
O 0.000 0.000 11.767
O 0.000 1.872 8.938
O 0.000 1.872 14.318
O 1.872 0.000 1.300
O 1.872 0.000 6.680
O 1.872 1.872 3.830
O 1.872 1.872 11.788
```

Top 10 peaks for 2θ = 15–90°, most intense first:
2θ (°), d [Å], I/Imax
26.40, 3.376, 100
33.15, 2.702, 95
33.87, 2.647, 54
48.65, 1.872, 39
37.50, 2.398, 34
60.14, 1.539, 32
41.20, 2.191, 28
38.14, 2.359, 27
24.45, 3.640, 26
17.03, 5.206, 26